# 1
The following is a computed powder X-ray diffraction pattern of LiCd4Au3. It was derived from a crystal structure in Alexandria, relaxed with GGA-PBE, using copper Kα.
Lines closer than 0.1° are merged.

Top 8 peaks for 2θ from 10° to 80°, most intense first:
- 2θ = 38.6°, rel. 100
- 2θ = 36.5°, rel. 65
- 2θ = 38.0°, rel. 60
- 2θ = 43.4°, rel. 52
- 2θ = 37.0°, rel. 46
- 2θ = 39.4°, rel. 43
- 2θ = 24.2°, rel. 37
- 2θ = 60.3°, rel. 33

Atomic structure:
Unit cell a=3.0551 b=4.1716 c=12.8177 alpha=97.23 beta=96.80 gamma=90.06
Fractional coordinates of all 8 atoms:
Li1 0.0000 0.0000 0.0000
Cd1 0.0958 0.6214 0.1915
Cd2 0.2170 0.7211 0.4329
Cd3 0.7830 0.2789 0.5671
Cd4 0.9042 0.3786 0.8085
Au1 0.3436 0.8297 0.6885
Au2 0.5000 0.5000 0.0000
Au3 0.6564 0.1703 0.3115

=====

# 2
The following is a computed powder X-ray diffraction pattern of MnBe9Al2. It was derived from a crystal structure in Alexandria, relaxed with GGA-PBE, using copper Kα.
Lines closer than 0.1° are merged.

Top 8 peaks for 2θ from 10° to 80°, most intense first:
- 2θ = 24.2°, rel. 100
- 2θ = 38.8°, rel. 76
- 2θ = 49.8°, rel. 74
- 2θ = 41.9°, rel. 69
- 2θ = 42.4°, rel. 54
- 2θ = 49.0°, rel. 38
- 2θ = 25.3°, rel. 33
- 2θ = 25.8°, rel. 26

Atomic structure:
Unit cell a=7.3502 b=7.3502 c=7.3502 alpha=34.13 beta=34.13 gamma=34.13
Fractional coordinates of all 12 atoms:
Mn1 0.0000 0.0000 0.0000
Be1 0.0813 0.5795 0.5795
Be2 0.3324 0.3324 0.3324
Be3 0.4205 0.4205 0.9187
Be4 0.4205 0.9187 0.4205
Be5 0.5000 0.5000 0.5000
Be6 0.5795 0.0813 0.5795
Be7 0.5795 0.5795 0.0813
Be8 0.6676 0.6676 0.6676
Be9 0.9187 0.4205 0.4205
Al1 0.1386 0.1386 0.1386
Al2 0.8614 0.8614 0.8614

=====

# 3
The following is a computed powder X-ray diffraction pattern of V2Pd5Pt. It was derived from a crystal structure in Alexandria, relaxed with GGA-PBE, using copper Kα.
Lines closer than 0.1° are merged.

Top 8 peaks for 2θ from 10° to 80°, most intense first:
- 2θ = 40.0°, rel. 100
- 2θ = 46.5°, rel. 32
- 2θ = 67.9°, rel. 30
- 2θ = 46.6°, rel. 16
- 2θ = 22.8°, rel. 10
- 2θ = 32.4°, rel. 9
- 2θ = 52.4°, rel. 4
- 2θ = 57.9°, rel. 4

Atomic structure:
Unit cell a=5.5268 b=11.0515 c=3.8984 alpha=90.00 beta=90.00 gamma=90.00
Fractional coordinates of all 16 atoms:
V1 0.2414 0.1230 0.0000
V2 0.2586 0.6230 0.0000
V3 0.7414 0.3770 0.0000
V4 0.7586 0.8770 0.0000
Pd1 0.0000 0.5000 0.5000
Pd2 0.0038 0.7506 0.5000
Pd3 0.2453 0.3740 0.0000
Pd4 0.2547 0.8740 0.0000
Pd5 0.4962 0.2506 0.5000
Pd6 0.5000 0.0000 0.5000
Pd7 0.5038 0.7494 0.5000
Pd8 0.7453 0.1260 0.0000
Pd9 0.7547 0.6260 0.0000
Pd10 0.9962 0.2494 0.5000
Pt1 0.0000 0.0000 0.5000
Pt2 0.5000 0.5000 0.5000

=====

# 4
The following is a computed powder X-ray diffraction pattern of UFe10Re2. It was derived from a crystal structure in Alexandria, relaxed with GGA-PBE, using copper Kα.
Lines closer than 0.1° are merged.

Top 8 peaks for 2θ from 10° to 80°, most intense first:
- 2θ = 43.4°, rel. 100
- 2θ = 44.6°, rel. 62
- 2θ = 21.9°, rel. 58
- 2θ = 37.5°, rel. 47
- 2θ = 37.4°, rel. 44
- 2θ = 43.0°, rel. 31
- 2θ = 33.6°, rel. 31
- 2θ = 21.1°, rel. 27

Atomic structure:
Unit cell a=6.3915 b=6.3915 c=6.3915 alpha=137.49 beta=97.74 gamma=97.36
Fractional coordinates of all 13 atoms:
U1 0.0000 0.0000 0.0000
Fe1 0.0000 0.0000 0.5000
Fe2 0.0000 0.5000 0.0000
Fe3 0.2160 0.5000 0.7160
Fe4 0.2220 0.7220 0.5000
Fe5 0.3605 0.0000 0.3605
Fe6 0.5000 0.0000 0.0000
Fe7 0.5000 0.5000 0.5000
Fe8 0.6395 0.0000 0.6395
Fe9 0.7780 0.2780 0.5000
Fe10 0.7840 0.5000 0.2840
Re1 0.3543 0.3543 0.0000
Re2 0.6457 0.6457 0.0000

=====

# 5
The following is a computed powder X-ray diffraction pattern of CaPuPt10. It was derived from a crystal structure in Alexandria, relaxed with GGA-PBE, using copper Kα.
Lines closer than 0.1° are merged.

Top 8 peaks for 2θ from 10° to 80°, most intense first:
- 2θ = 39.1°, rel. 100
- 2θ = 43.8°, rel. 57
- 2θ = 19.0°, rel. 36
- 2θ = 40.7°, rel. 35
- 2θ = 38.6°, rel. 28
- 2θ = 57.4°, rel. 18
- 2θ = 33.2°, rel. 17
- 2θ = 63.3°, rel. 17

Atomic structure:
Unit cell a=4.4297 b=5.3985 c=9.3212 alpha=90.00 beta=90.00 gamma=90.00
Fractional coordinates of all 12 atoms:
Ca1 0.0000 0.0000 0.0000
Pu1 0.0000 0.5000 0.5000
Pt1 0.0000 0.0000 0.3340
Pt2 0.0000 0.0000 0.6660
Pt3 0.0000 0.5000 0.1680
Pt4 0.0000 0.5000 0.8320
Pt5 0.5000 0.0000 0.5000
Pt6 0.5000 0.2517 0.2519
Pt7 0.5000 0.2517 0.7481
Pt8 0.5000 0.5000 0.0000
Pt9 0.5000 0.7483 0.2519
Pt10 0.5000 0.7483 0.7481

=====

# 6
The following is a computed powder X-ray diffraction pattern of Rb2LiSn10. It was derived from a crystal structure in Alexandria, relaxed with GGA-PBE, using copper Kα.
Lines closer than 0.1° are merged.

Top 8 peaks for 2θ from 10° to 80°, most intense first:
- 2θ = 31.3°, rel. 100
- 2θ = 13.7°, rel. 100
- 2θ = 42.6°, rel. 69
- 2θ = 41.9°, rel. 65
- 2θ = 36.1°, rel. 58
- 2θ = 20.5°, rel. 51
- 2θ = 26.9°, rel. 41
- 2θ = 27.0°, rel. 41

Atomic structure:
Unit cell a=8.5511 b=17.3266 c=6.4854 alpha=90.00 beta=90.00 gamma=90.00
Fractional coordinates of all 26 atoms:
Rb1 0.2027 0.1638 0.0000
Rb2 0.2973 0.6638 0.0000
Rb3 0.7027 0.3362 0.0000
Rb4 0.7973 0.8362 0.0000
Li1 0.0000 0.5000 0.5000
Li2 0.5000 0.0000 0.5000
Sn1 0.0504 0.6563 0.5000
Sn2 0.0552 0.8274 0.5000
Sn3 0.1729 0.0322 0.5000
Sn4 0.2096 0.4018 0.2309
Sn5 0.2096 0.4018 0.7691
Sn6 0.2904 0.9018 0.2309
Sn7 0.2904 0.9018 0.7691
Sn8 0.3271 0.5322 0.5000
Sn9 0.4448 0.3274 0.5000
Sn10 0.4496 0.1563 0.5000
Sn11 0.5504 0.8437 0.5000
Sn12 0.5552 0.6726 0.5000
Sn13 0.6729 0.4678 0.5000
Sn14 0.7096 0.0982 0.2309
Sn15 0.7096 0.0982 0.7691
Sn16 0.7904 0.5982 0.2309
Sn17 0.7904 0.5982 0.7691
Sn18 0.8271 0.9678 0.5000
Sn19 0.9448 0.1726 0.5000
Sn20 0.9496 0.3437 0.5000